[1]
For Nb4CoSnC2, a DFT-relaxed cell (GGA-PBE, OQMD) gives the calculated powder X-ray diffraction pattern in this record (Cu Ka).
Intensities are scaled so that the largest is 100.

Largest 6 diffraction maxima, low angle first, 2θ = 5–70°:
32.67 deg, d 2.741, rel. 25; 38.47 deg, d 2.340, rel. 100; 40.14 deg, d 2.247, rel. 14; 52.68 deg, d 1.737, rel. 11; 58.31 deg, d 1.582, rel. 22; 64.97 deg, d 1.435, rel. 9

Lattice parameters (Å, degrees): 3.165 3.165 13.479 90.00 90.00 120.00
Element x y z (fractional)
Nb 0.000 0.000 0.141
Nb 0.000 0.000 0.859
Nb 0.333 0.667 0.325
Nb 0.333 0.667 0.675
Co 0.333 0.667 0.000
Sn 0.000 0.000 0.500
C 0.667 0.333 0.232
C 0.667 0.333 0.768

***

[2]
For Co2NiC2, a DFT-relaxed cell (GGA-PBE, OQMD) gives the calculated powder X-ray diffraction pattern in this record (Cu Ka).
Intensities are scaled so that the largest is 100.

Largest 6 diffraction maxima, low angle first, 2θ = 5–70°:
34.83 deg, d 2.576, rel. 100; 35.27 deg, d 2.545, rel. 62; 43.28 deg, d 2.091, rel. 72; 46.42 deg, d 1.956, rel. 63; 47.47 deg, d 1.915, rel. 39; 53.35 deg, d 1.717, rel. 43

Lattice parameters (Å, degrees): 6.065 6.065 6.065 143.82 58.29 135.93
Element x y z (fractional)
Co 0.180 0.168 0.348
Co 0.320 0.668 0.988
Co 0.680 0.332 0.012
Co 0.820 0.832 0.652
Ni 0.188 0.688 0.500
Ni 0.688 0.188 0.500
C 0.057 0.608 0.827
C 0.280 0.108 0.551
C 0.557 0.730 0.449
C 0.780 0.230 0.173